For Tl2SiBiTe4, a DFT-relaxed cell (PBE, Alexandria) gives the calculated XRD peak list in this record (Cu Kα X-rays).
Lines closer than 0.1° are merged.

The 6 most intense peaks (15 to 90 degrees two-theta), by angle:
| two_theta | I_rel | hkl |
| --- | --- | --- |
| 26.38 | 68 | 2 1 1 |
| 27.57 | 22 | 1 1 2 |
| 30.07 | 49 | 2 2 0 |
| 31.49 | 100 | 2 0 2 |
| 38.24 | 23 | 2 2 2 |
| 49.40 | 22 | 4 0 2 |

Crystal structure
a b c (Å): 8.405 8.405 7.712
angles (deg): 90.00 90.00 90.00
Sites, in units of the cell vectors:
Tl 0.000 0.500 0.000
Tl 0.000 0.500 0.500
Tl 0.500 0.000 0.000
Tl 0.500 0.000 0.500
Si 0.000 0.000 0.000
Si 0.500 0.500 0.500
Bi 0.000 0.000 0.500
Bi 0.500 0.500 0.000
Te 0.175 0.175 0.802
Te 0.175 0.825 0.198
Te 0.325 0.325 0.302
Te 0.325 0.675 0.698
Te 0.675 0.325 0.698
Te 0.675 0.675 0.302
Te 0.825 0.175 0.198
Te 0.825 0.825 0.802


For PmPb5, a DFT-relaxed cell (PBE, Alexandria) gives the calculated XRD peak list in this record (Cu Kα X-rays).
Lines closer than 0.1° are merged.

The 6 most intense peaks (15 to 90 degrees two-theta), by angle:
| two_theta | I_rel | hkl |
| --- | --- | --- |
| 31.08 | 100 | 1 3 -1 |
| 31.21 | 50 | 2 0 0 |
| 31.43 | 49 | 0 0 2 |
| 35.61 | 70 | 1 3 1 |
| 37.31 | 31 | 2 0 -2 |
| 52.38 | 24 | 3 3 -1 |

Crystal structure
a b c (Å): 6.004 10.761 5.963
angles (deg): 90.00 107.34 90.00
Sites, in units of the cell vectors:
Pm 0.000 0.000 0.000
Pm 0.500 0.500 0.000
Pb 0.000 0.162 0.500
Pb 0.000 0.328 0.000
Pb 0.000 0.500 0.500
Pb 0.000 0.672 0.000
Pb 0.000 0.838 0.500
Pb 0.500 0.000 0.500
Pb 0.500 0.172 0.000
Pb 0.500 0.338 0.500
Pb 0.500 0.662 0.500
Pb 0.500 0.828 0.000


For YHF, a DFT-relaxed cell (PBE, Alexandria) gives the calculated XRD peak list in this record (Cu Kα X-rays).
Lines closer than 0.1° are merged.

The 6 most intense peaks (15 to 90 degrees two-theta), by angle:
| two_theta | I_rel | hkl |
| --- | --- | --- |
| 27.45 | 57 | 1 0 -1 |
| 28.27 | 41 | 1 0 1 |
| 29.01 | 100 | 0 1 1 |
| 33.73 | 39 | 1 1 0 |
| 46.20 | 38 | 1 1 -2 |
| 47.25 | 30 | 1 1 2 |

Crystal structure
a b c (Å): 3.872 3.656 5.705
angles (deg): 90.00 91.76 90.00
Sites, in units of the cell vectors:
Y 0.218 0.250 0.230
Y 0.782 0.750 0.770
H 0.058 0.250 0.873
H 0.942 0.750 0.127
F 0.263 0.750 0.518
F 0.737 0.250 0.482